The following is a computed powder diffraction line list of Ce8Ag6Ge8O. It was derived from a structure optimized by DFT (GGA-PBE), using Cu Kα.
Lines closer than 0.1° are merged.

a b c (Å): 4.3833 11.1876 20.6476
angles (deg): 90.00 90.00 90.00
Space group Pmc2_1 (No. 26)
One atom of each set of equivalent atoms:
Ce 0.0000 0.0410 0.0000
Ce 0.0000 0.2967 0.1332
Ce 0.0000 0.3819 0.9550
Ce 0.0000 0.3833 0.3199
Ce 0.5000 0.1165 0.7444
Ce 0.5000 0.1215 0.3836
Ce 0.5000 0.2013 0.5625
Ce 0.5000 0.4560 0.6991
Ag 0.0000 0.1050 0.2529
Ag 0.0000 0.3109 0.8030
Ag 0.0000 0.4195 0.5713
Ag 0.5000 0.0874 0.1352
Ag 0.5000 0.1937 0.8941
Ag 0.5000 0.4055 0.4467
Ge 0.0000 0.0495 0.6384
Ge 0.0000 0.0658 0.8512
Ge 0.0000 0.2701 0.6737
Ge 0.0000 0.2708 0.4574
Ge 0.5000 0.2337 0.0270
Ge 0.5000 0.2570 0.2411
Ge 0.5000 0.4308 0.8474
Ge 0.5000 0.4500 0.0611
O 0.5000 0.0503 0.4880

Peak list (10 most intense, 2θ from 10° to 80°, in order of rising 2θ)
Position (°2θ)	d/Å	I (rel.)	hkl
31.50	2.840	47	1 3 0
33.11	2.706	52	1 0 6
33.86	2.648	77	1 2 5
34.14	2.626	100	1 3 3
35.50	2.529	27	0 3 6
35.70	2.515	38	0 1 8
38.44	2.342	16	1 4 1
41.20	2.191	68	2 0 0
55.48	1.656	15	2 3 6
55.63	1.652	21	2 1 8